CeY7: calculated X-ray diffraction stick pattern (a wavelength of 1.5418 Å), based on DFT lattice parameters and positions (GGA-PBE).
Intensities are scaled so that the largest is 100.

Atomic structure:
```
CeY7
1.0
0.000 5.047 5.047
5.047 0.000 5.047
5.047 5.047 0.000
Ce Y
1 7
Direct
0.000 0.000 0.000
0.000 0.000 0.500
0.000 0.500 0.000
0.000 0.500 0.500
0.500 0.000 0.000
0.500 0.000 0.500
0.500 0.500 0.000
0.500 0.500 0.500
```

Most intense lines, 2θ = 10–90°, most intense first:
- 2θ = 30.68°, d = 2.914 Å, I 100
- 2θ = 35.57°, d = 2.524 Å, I 50
- 2θ = 60.87°, d = 1.522 Å, I 40
- 2θ = 51.19°, d = 1.785 Å, I 35
- 2θ = 83.48°, d = 1.158 Å, I 16
- 2θ = 86.17°, d = 1.129 Å, I 15


Ce5Y: calculated X-ray diffraction stick pattern (a wavelength of 1.5418 Å), based on DFT lattice parameters and positions (GGA-PBE).
Intensities are scaled so that the largest is 100.

Atomic structure:
```
Ce5Y
1.0
4.773 0.000 0.000
0.000 14.486 0.000
0.000 0.000 4.798
Ce Y
10 2
Direct
0.000 0.000 0.000
0.000 0.172 0.500
0.000 0.332 0.000
0.000 0.668 0.000
0.000 0.828 0.500
0.500 0.168 0.000
0.500 0.328 0.500
0.500 0.500 0.000
0.500 0.672 0.500
0.500 0.832 0.000
0.000 0.500 0.500
0.500 0.000 0.500
```

Most intense lines, 2θ = 10–90°, most intense first:
- 2θ = 32.30°, d = 2.771 Å, I 100
- 2θ = 37.24°, d = 2.414 Å, I 17
- 2θ = 37.49°, d = 2.399 Å, I 17
- 2θ = 37.69°, d = 2.387 Å, I 16
- 2θ = 64.40°, d = 1.447 Å, I 14
- 2θ = 64.67°, d = 1.441 Å, I 14


Ce2YZn: calculated X-ray diffraction stick pattern (a wavelength of 1.5418 Å), based on DFT lattice parameters and positions (GGA-PBE).
Intensities are scaled so that the largest is 100.

Atomic structure:
```
Ce2YZn
1.0
3.770 0.000 0.000
0.000 3.770 0.000
0.000 0.000 7.813
Ce Y Zn
2 1 1
Direct
0.000 0.000 0.195
0.000 0.000 0.805
0.500 0.500 0.500
0.500 0.500 0.000
```

Most intense lines, 2θ = 10–90°, most intense first:
- 2θ = 33.02°, d = 2.713 Å, I 100
- 2θ = 33.62°, d = 2.666 Å, I 65
- 2θ = 59.74°, d = 1.548 Å, I 35
- 2θ = 48.28°, d = 1.885 Å, I 23
- 2θ = 42.17°, d = 2.143 Å, I 18
- 2θ = 26.25°, d = 3.395 Å, I 17


CeYZn10: calculated X-ray diffraction stick pattern (a wavelength of 1.5418 Å), based on DFT lattice parameters and positions (GGA-PBE).
Intensities are scaled so that the largest is 100.

Atomic structure:
```
CeYZn10
1.0
4.235 0.000 0.000
0.000 5.349 0.000
0.000 0.000 9.233
Ce Y Zn
1 1 10
Direct
0.000 0.000 0.000
0.000 0.500 0.500
0.000 0.000 0.337
0.000 0.000 0.663
0.000 0.500 0.171
0.000 0.500 0.829
0.500 0.000 0.500
0.500 0.249 0.250
0.500 0.249 0.750
0.500 0.500 0.000
0.500 0.751 0.250
0.500 0.751 0.750
```

Most intense lines, 2θ = 10–90°, most intense first:
- 2θ = 39.91°, d = 2.259 Å, I 100
- 2θ = 28.58°, d = 3.123 Å, I 30
- 2θ = 42.70°, d = 2.118 Å, I 28
- 2θ = 33.56°, d = 2.670 Å, I 26
- 2θ = 38.91°, d = 2.314 Å, I 22
- 2θ = 44.65°, d = 2.030 Å, I 19


CeY3Zn2: calculated X-ray diffraction stick pattern (a wavelength of 1.5418 Å), based on DFT lattice parameters and positions (GGA-PBE).
Intensities are scaled so that the largest is 100.

Atomic structure:
```
CeY3Zn2
1.0
3.550 0.000 0.000
0.000 3.550 0.000
0.000 0.000 12.221
Ce Y Zn
1 3 2
Direct
0.000 0.000 0.000
0.500 0.500 0.207
0.500 0.500 0.500
0.500 0.500 0.793
0.000 0.000 0.353
0.000 0.000 0.647
```

Most intense lines, 2θ = 10–90°, most intense first:
- 2θ = 33.48°, d = 2.676 Å, I 100
- 2θ = 35.77°, d = 2.510 Å, I 52
- 2θ = 62.82°, d = 1.479 Å, I 31
- 2θ = 51.49°, d = 1.775 Å, I 18
- 2θ = 29.09°, d = 3.070 Å, I 16
- 2θ = 58.34°, d = 1.582 Å, I 10


CeZn13: calculated X-ray diffraction stick pattern (a wavelength of 1.5418 Å), based on DFT lattice parameters and positions (GGA-PBE).
Intensities are scaled so that the largest is 100.

Atomic structure:
```
CeZn13
1.0
0.000 6.087 6.087
6.087 0.000 6.087
6.087 6.087 0.000
Ce Zn
2 26
Direct
0.250 0.250 0.250
0.750 0.750 0.750
0.000 0.000 0.000
0.058 0.301 0.699
0.058 0.699 0.942
0.058 0.942 0.301
0.199 0.442 0.801
0.199 0.558 0.442
0.199 0.801 0.558
0.301 0.058 0.942
0.301 0.699 0.058
0.301 0.942 0.699
0.442 0.199 0.558
0.442 0.558 0.801
0.442 0.801 0.199
0.500 0.500 0.500
0.558 0.199 0.801
0.558 0.442 0.199
0.558 0.801 0.442
0.699 0.058 0.301
0.699 0.301 0.942
0.699 0.942 0.058
0.801 0.199 0.442
0.801 0.442 0.558
0.801 0.558 0.199
0.942 0.058 0.699
0.942 0.301 0.058
0.942 0.699 0.301
```

Most intense lines, 2θ = 10–90°, most intense first:
- 2θ = 44.00°, d = 2.058 Å, I 100
- 2θ = 36.15°, d = 2.485 Å, I 91
- 2θ = 32.90°, d = 2.722 Å, I 45
- 2θ = 44.66°, d = 2.029 Å, I 26
- 2θ = 47.22°, d = 1.925 Å, I 19
- 2θ = 70.47°, d = 1.336 Å, I 18


CeZn11: calculated X-ray diffraction stick pattern (a wavelength of 1.5418 Å), based on DFT lattice parameters and positions (GGA-PBE).
Intensities are scaled so that the largest is 100.

Atomic structure:
```
CeZn11
1.0
-5.290 5.290 3.450
5.290 -5.290 3.450
5.290 5.290 -3.450
Ce Zn
2 22
Direct
0.375 0.625 0.750
0.625 0.375 0.250
0.000 0.000 0.000
0.000 0.000 0.500
0.000 0.500 0.000
0.125 0.875 0.250
0.132 0.555 0.334
0.132 0.798 0.577
0.202 0.279 0.334
0.202 0.868 0.923
0.279 0.202 0.834
0.279 0.445 0.077
0.445 0.279 0.577
0.445 0.868 0.166
0.500 0.000 0.500
0.555 0.132 0.834
0.555 0.721 0.423
0.721 0.555 0.923
0.721 0.798 0.166
0.798 0.132 0.077
0.798 0.721 0.666
0.868 0.202 0.423
0.868 0.445 0.666
0.875 0.125 0.750
```

Most intense lines, 2θ = 10–90°, most intense first:
- 2θ = 37.44°, d = 2.402 Å, I 100
- 2θ = 38.03°, d = 2.366 Å, I 68
- 2θ = 44.80°, d = 2.023 Å, I 53
- 2θ = 33.17°, d = 2.701 Å, I 37
- 2θ = 40.12°, d = 2.247 Å, I 31
- 2θ = 46.54°, d = 1.951 Å, I 29


Ce3Zn8: calculated X-ray diffraction stick pattern (a wavelength of 1.5418 Å), based on DFT lattice parameters and positions (GGA-PBE).
Intensities are scaled so that the largest is 100.

Atomic structure:
```
Ce3Zn8
1.0
-1.746 2.264 13.865
1.746 -2.264 13.865
1.746 2.264 -13.865
Ce Zn
3 8
Direct
0.000 0.000 0.000
0.356 0.856 0.500
0.644 0.144 0.500
0.095 0.595 0.500
0.189 0.689 0.500
0.258 0.258 0.000
0.452 0.452 0.000
0.548 0.548 0.000
0.742 0.742 0.000
0.811 0.311 0.500
0.905 0.405 0.500
```

Most intense lines, 2θ = 10–90°, most intense first:
- 2θ = 34.94°, d = 2.568 Å, I 100
- 2θ = 34.24°, d = 2.619 Å, I 54
- 2θ = 40.98°, d = 2.203 Å, I 52
- 2θ = 39.82°, d = 2.264 Å, I 37
- 2θ = 53.50°, d = 1.713 Å, I 30
- 2θ = 68.60°, d = 1.368 Å, I 21